Entry 1:
Theoretical PXRD pattern
Compound: Rb2MnCl5
Radiation: Cu Kα (λ = 1.5418 Å)
Structure: a PBE-relaxed structure
Intensities are scaled so that the largest is 100.

a b c (Å): 7.078 7.078 7.078
angles (deg): 117.33 117.33 94.68
Positions (direct):
1 Rb 0.000 0.500 0.500
2 Rb 0.500 0.000 0.500
3 Mn 0.219 0.219 0.000
4 Cl 0.040 0.040 0.564
5 Cl 0.040 0.476 0.000
6 Cl 0.476 0.040 0.000
7 Cl 0.476 0.476 0.436
8 Cl 0.975 0.975 0.000

Top 12 peaks for 2θ from 10° to 90°, sorted by position:
2θ/deg	d/Å	I (rel.)
15.17	5.840	59
24.18	3.681	18
25.25	3.527	76
30.62	2.920	100
34.46	2.603	64
37.50	2.398	25
43.20	2.094	28
45.42	1.997	12
49.53	1.840	19
51.84	1.764	32
59.35	1.557	22
63.75	1.460	15

***

Entry 2:
Theoretical PXRD pattern
Compound: La4Sm7Ho
Radiation: Cu Kα (λ = 1.5418 Å)
Structure: a PBE-relaxed structure
Intensities are scaled so that the largest is 100.

a b c (Å): 3.658 3.658 35.910
angles (deg): 90.00 90.00 120.00
Positions (direct):
1 La 0.333 0.667 0.165
2 La 0.333 0.667 0.416
3 La 0.667 0.333 0.584
4 La 0.667 0.333 0.835
5 Sm 0.000 0.000 0.250
6 Sm 0.000 0.000 0.500
7 Sm 0.000 0.000 0.750
8 Sm 0.333 0.667 0.668
9 Sm 0.333 0.667 0.920
10 Sm 0.667 0.333 0.080
11 Sm 0.667 0.333 0.332
12 Ho 0.000 0.000 0.000

Top 11 peaks for 2θ from 10° to 90°, sorted by position:
2θ/deg	d/Å	I (rel.)
29.90	2.988	100
34.66	2.588	51
49.83	1.830	36
59.20	1.561	43
62.03	1.496	3
62.15	1.494	9
73.13	1.294	6
80.90	1.188	8
81.02	1.187	9
83.47	1.158	8
83.58	1.157	8

***

Entry 3:
Theoretical PXRD pattern
Compound: Pu5Ir4
Radiation: Cu Kα (λ = 1.5418 Å)
Structure: a PBE-relaxed structure
Intensities are scaled so that the largest is 100.

a b c (Å): 4.754 4.754 8.486
angles (deg): 90.00 90.00 120.00
Positions (direct):
1 Pu 0.000 0.000 0.000
2 Pu 0.333 0.667 0.560
3 Pu 0.333 0.667 0.874
4 Pu 0.667 0.333 0.126
5 Pu 0.667 0.333 0.440
6 Ir 0.000 0.000 0.324
7 Ir 0.000 0.000 0.676
8 Ir 0.333 0.667 0.214
9 Ir 0.667 0.333 0.786

Top 12 peaks for 2θ from 10° to 90°, sorted by position:
2θ/deg	d/Å	I (rel.)
24.02	3.704	3
37.85	2.377	100
38.62	2.331	92
48.26	1.886	2
55.18	1.664	33
62.91	1.477	1
68.35	1.372	18
68.86	1.363	35
70.39	1.338	15
75.82	1.255	1
80.88	1.189	12
82.80	1.166	10

***

Repeat the second record exactly.
Theoretical PXRD pattern
Compound: La4Sm7Ho
Radiation: Cu Kα (λ = 1.5418 Å)
Structure: a PBE-relaxed structure
Intensities are scaled so that the largest is 100.

a b c (Å): 3.658 3.658 35.910
angles (deg): 90.00 90.00 120.00
Positions (direct):
1 La 0.333 0.667 0.165
2 La 0.333 0.667 0.416
3 La 0.667 0.333 0.584
4 La 0.667 0.333 0.835
5 Sm 0.000 0.000 0.250
6 Sm 0.000 0.000 0.500
7 Sm 0.000 0.000 0.750
8 Sm 0.333 0.667 0.668
9 Sm 0.333 0.667 0.920
10 Sm 0.667 0.333 0.080
11 Sm 0.667 0.333 0.332
12 Ho 0.000 0.000 0.000

Top 11 peaks for 2θ from 10° to 90°, sorted by position:
2θ/deg	d/Å	I (rel.)
29.90	2.988	100
34.66	2.588	51
49.83	1.830	36
59.20	1.561	43
62.03	1.496	3
62.15	1.494	9
73.13	1.294	6
80.90	1.188	8
81.02	1.187	9
83.47	1.158	8
83.58	1.157	8